# 1
Starting from a cell relaxed with PBE, the X-ray diffraction stick pattern of Zr3TlAu2 was computed for Cu Kα (weighted mean of Kα1 and Kα2).
Lines closer than 0.1° are merged.

Top 10 peaks for 2θ = 15–90°, in order of rising 2θ:
index  2θ (°)  intensity
0 0 3  21.3  12
1 0 0  28.2  12
1 0 3  35.6  100
1 1 0  40.3  36
0 0 6  43.4  14
2 0 0  58.4  12
1 1 6  60.8  20
2 1 3  70.3  28
1 0 9  74.6  10
2 0 6  75.5  11

Lattice parameters (Å, degrees): 3.1622 3.1622 12.5041 90.00 90.00 90.00
Space group P4/mmm (No. 123)
Symmetry-distinct sites (fractional):
Zr  0.0000  0.0000  0.0000 (multiplicity 1)
Zr  0.0000  0.0000  0.3199 (multiplicity 2)
Tl  0.5000  0.5000  0.5000 (multiplicity 1)
Au  0.5000  0.5000  0.1614 (multiplicity 2)



# 2
Starting from a cell relaxed with PBE, the X-ray diffraction stick pattern of Zr6Tl2Au was computed for Cu Kα (weighted mean of Kα1 and Kα2).
Lines closer than 0.1° are merged.

Top 10 peaks for 2θ = 15–90°, in order of rising 2θ:
index  2θ (°)  intensity
1 1 1  23.8  8
3 0 1  34.7  100
3 1 1  36.0  9
0 0 2  40.0  18
3 3 0  40.3  30
3 3 2  58.1  20
6 0 0  58.4  8
3 0 3  69.3  13
6 3 1  69.7  18
6 0 2  73.1  8

Lattice parameters (Å, degrees): 9.4872 9.4872 4.5056 90.00 90.00 90.00
Space group P4_2/mnm (No. 136)
Symmetry-distinct sites (fractional):
Zr  0.0131  0.3302  0.0000 (multiplicity 8)
Zr  0.1446  0.8554  0.5000 (multiplicity 4)
Tl  0.1879  0.1879  0.5000 (multiplicity 4)
Au  0.0000  0.0000  0.0000 (multiplicity 2)



# 3
Starting from a cell relaxed with PBE, the X-ray diffraction stick pattern of Tm3Au was computed for Cu Kα (weighted mean of Kα1 and Kα2).
Lines closer than 0.1° are merged.

Top 10 peaks for 2θ = 15–90°, in order of rising 2θ:
index  2θ (°)  intensity
3 2 1  30.9  90
1 1 2  31.3  76
3 3 0  32.0  74
2 4 0  33.7  38
4 1 1  34.4  100
2 2 2  36.5  72
5 1 0  38.6  32
3 2 3  53.0  30
6 0 2  55.4  42
5 5 2  63.2  30

Lattice parameters (Å, degrees): 11.8786 11.8786 6.0823 90.00 90.00 90.00
Space group I-4 (No. 82)
Symmetry-distinct sites (fractional):
Tm  0.9998  0.1443  0.2501 (multiplicity 8)
Tm  0.0964  0.4033  0.4893 (multiplicity 8)
Tm  0.2011  0.2986  0.9775 (multiplicity 8)
Au  0.9997  0.2077  0.7501 (multiplicity 8)



# 4
Starting from a cell relaxed with PBE, the X-ray diffraction stick pattern of Tm5Au3 was computed for Cu Kα (weighted mean of Kα1 and Kα2).
Lines closer than 0.1° are merged.

Top 10 peaks for 2θ = 15–90°, in order of rising 2θ:
index  2θ (°)  intensity
1 1 4  29.5  12
2 1 3  32.7  100
2 0 4  34.3  23
2 2 0  34.6  10
0 0 6  36.2  14
3 1 0  38.9  44
4 1 3  54.9  12
2 1 9  62.9  10
3 1 8  64.2  11
5 2 3  72.0  12

Lattice parameters (Å, degrees): 7.3254 7.3254 14.9023 90.00 90.00 90.00
Space group I4/mcm (No. 140)
Symmetry-distinct sites (fractional):
Tm  0.0000  0.0000  0.0000 (multiplicity 4)
Tm  0.1663  0.3337  0.1515 (multiplicity 16)
Au  0.0000  0.0000  0.2500 (multiplicity 4)
Au  0.1370  0.3630  0.5000 (multiplicity 8)



# 5
Starting from a cell relaxed with PBE, the X-ray diffraction stick pattern of Tm4Au was computed for Cu Kα (weighted mean of Kα1 and Kα2).
Lines closer than 0.1° are merged.

Top 10 peaks for 2θ = 15–90°, in order of rising 2θ:
index  2θ (°)  intensity
2 2 0  20.2  25
2 0 2  28.5  19
2 2 2  31.5  100
3 3 1  32.8  79
4 2 0  33.5  23
1 5 1  36.6  55
1 1 3  37.7  40
2 4 2  39.4  21
4 4 0  41.0  31
4 2 2  41.6  23

Lattice parameters (Å, degrees): 11.6956 13.3468 7.4335 90.00 90.00 90.00
Space group Fdd2 (No. 43)
Symmetry-distinct sites (fractional):
Tm  0.0777  0.3886  0.0000 (multiplicity 16)
Tm  0.1160  0.3169  0.4446 (multiplicity 16)
Au  0.0000  0.0000  0.8516 (multiplicity 8)



# 6
Starting from a cell relaxed with PBE, the X-ray diffraction stick pattern of Tm7Au3 was computed for Cu Kα (weighted mean of Kα1 and Kα2).
Lines closer than 0.1° are merged.

Top 10 peaks for 2θ = 15–90°, in order of rising 2θ:
index  2θ (°)  intensity
1 0 2  30.2  41
2 1 1  31.0  100
3 0 0  31.3  26
3 0 1  34.5  87
2 0 2  35.3  74
2 2 0  36.3  67
2 1 2  39.9  30
3 0 3  54.1  24
5 0 1  55.6  25
5 2 1  70.2  24

Lattice parameters (Å, degrees): 9.8924 9.8924 6.3171 90.00 90.00 120.00
Space group P6_3mc (No. 186)
Symmetry-distinct sites (fractional):
Tm  0.0751  0.5376  0.0000 (multiplicity 6)
Tm  0.1285  0.2569  0.7052 (multiplicity 6)
Tm  0.3333  0.6667  0.5299 (multiplicity 2)
Au  0.1913  0.3826  0.2722 (multiplicity 6)



# 7
Starting from a cell relaxed with PBE, the X-ray diffraction stick pattern of Tm6Au5 was computed for Cu Kα (weighted mean of Kα1 and Kα2).
Lines closer than 0.1° are merged.

Top 10 peaks for 2θ = 15–90°, in order of rising 2θ:
index  2θ (°)  intensity
1 1 2  24.9  4
0 0 6  35.8  25
1 2 3  35.9  100
2 0 0  36.1  25
0 4 0  51.8  26
0 4 6  64.5  27
2 4 0  64.7  9
3 2 3  64.8  18
2 4 6  76.2  11
1 6 3  87.3  17

Lattice parameters (Å, degrees): 4.9753 7.0696 15.0414 90.00 90.00 90.00
Space group Immm (No. 71)
Symmetry-distinct sites (fractional):
Tm  0.0000  0.2490  0.0000 (multiplicity 4)
Tm  0.0000  0.2499  0.3349 (multiplicity 8)
Au  0.0000  0.0000  0.1714 (multiplicity 4)
Au  0.0000  0.5000  0.1581 (multiplicity 4)
Au  0.0000  0.5000  0.5000 (multiplicity 2)



# 8
Starting from a cell relaxed with PBE, the X-ray diffraction stick pattern of Y3TmAu2 was computed for Cu Kα (weighted mean of Kα1 and Kα2).
Lines closer than 0.1° are merged.

Top 10 peaks for 2θ = 15–90°, in order of rising 2θ:
index  2θ (°)  intensity
0 2 1  23.5  27
1 1 1  24.0  39
1 2 1  29.6  41
1 0 2  31.0  20
0 2 2  32.2  22
1 1 2  32.6  100
1 3 0  35.0  66
2 0 0  36.1  57
0 2 3  43.3  22
1 3 2  43.6  64

Lattice parameters (Å, degrees): 4.9715 8.9745 7.0800 90.00 90.00 90.00
Space group Pmc2_1 (No. 26)
Symmetry-distinct sites (fractional):
Y  0.0000  0.0730  0.0000 (multiplicity 2)
Y  0.0000  0.3332  0.3633 (multiplicity 2)
Y  0.5000  0.1701  0.6616 (multiplicity 2)
Tm  0.5000  0.4255  0.0257 (multiplicity 2)
Au  0.0000  0.3489  0.7744 (multiplicity 2)
Au  0.5000  0.1534  0.2511 (multiplicity 2)



# 9
Starting from a cell relaxed with PBE, the X-ray diffraction stick pattern of Y3TmAu4 was computed for Cu Kα (weighted mean of Kα1 and Kα2).
Lines closer than 0.1° are merged.

Top 10 peaks for 2θ = 15–90°, in order of rising 2θ:
index  2θ (°)  intensity
1 0 0  24.8  6
1 1 0  35.3  100
0 0 8  50.6  6
2 0 0  50.9  12
1 1 8  63.3  12
2 1 4  63.5  24
2 0 8  74.7  7
2 2 0  74.9  4
1 0 12  85.2  5
3 1 0  85.6  11

Lattice parameters (Å, degrees): 3.5874 3.5874 14.4192 90.00 90.00 90.00
Space group P4/mmm (No. 123)
Symmetry-distinct sites (fractional):
Y  0.0000  0.0000  0.0000 (multiplicity 1)
Y  0.0000  0.0000  0.2521 (multiplicity 2)
Tm  0.0000  0.0000  0.5000 (multiplicity 1)
Au  0.5000  0.5000  0.1251 (multiplicity 2)
Au  0.5000  0.5000  0.3807 (multiplicity 2)



# 10
Starting from a cell relaxed with PBE, the X-ray diffraction stick pattern of Y3Tm4Au4 was computed for Cu Kα (weighted mean of Kα1 and Kα2).
Lines closer than 0.1° are merged.

Top 10 peaks for 2θ = 15–90°, in order of rising 2θ:
index  2θ (°)  intensity
1 0 1  19.4  24
0 1 3  20.7  28
1 2 1  30.4  100
0 1 5  31.2  22
1 1 4  32.0  45
1 2 3  34.6  42
0 0 6  34.8  23
2 0 0  37.6  53
1 3 2  41.6  44
1 2 5  42.0  49

Lattice parameters (Å, degrees): 4.7798 7.6993 15.4697 90.00 90.00 90.00
Space group Immm (No. 71)
Symmetry-distinct sites (fractional):
Y  0.0000  0.0000  0.0000 (multiplicity 2)
Y  0.0000  0.5000  0.1045 (multiplicity 4)
Tm  0.0000  0.2883  0.3273 (multiplicity 8)
Au  0.0000  0.0000  0.2075 (multiplicity 4)
Au  0.0000  0.1882  0.5000 (multiplicity 4)



# 11
Starting from a cell relaxed with PBE, the X-ray diffraction stick pattern of TmZn2Au was computed for Cu Kα (weighted mean of Kα1 and Kα2).
Lines closer than 0.1° are merged.

Top 10 peaks for 2θ = 15–90°, in order of rising 2θ:
index  2θ (°)  intensity
0 1 1  21.2  20
1 0 1  25.0  36
1 1 1  29.6  31
0 2 1  34.5  33
1 0 2  35.7  45
1 1 2  39.1  59
1 2 1  40.4  100
2 0 0  41.5  41
0 1 3  47.0  35
2 1 3  64.4  23

Lattice parameters (Å, degrees): 4.3550 5.7273 6.1650 90.00 90.00 90.00
Space group Pmmn (No. 59, origin choice 2)
Symmetry-distinct sites (fractional):
Tm  0.2500  0.2500  0.0827 (multiplicity 2)
Zn  0.2500  0.5089  0.6308 (multiplicity 4)
Au  0.2500  0.7500  0.2420 (multiplicity 2)



# 12
Starting from a cell relaxed with PBE, the X-ray diffraction stick pattern of Tm3Zn7Au4 was computed for Cu Kα (weighted mean of Kα1 and Kα2).
Lines closer than 0.1° are merged.

Top 10 peaks for 2θ = 15–90°, in order of rising 2θ:
index  2θ (°)  intensity
1 1 1  26.2  38
2 0 2  33.5  53
1 1 2  34.8  70
5 1 -2  35.4  69
3 1 1  35.6  45
3 1 -3  35.8  100
5 1 -1  36.0  46
0 2 0  41.0  99
3 1 -4  45.1  39
2 2 2  53.9  42

Lattice parameters (Å, degrees): 15.6738 4.4014 9.1513 90.00 124.19 90.00
Space group C2/m (No. 12)
Symmetry-distinct sites (fractional):
Tm  0.0000  0.0000  0.0000 (multiplicity 2)
Tm  0.2077  0.5000  0.7111 (multiplicity 4)
Zn  0.0000  0.0000  0.5000 (multiplicity 2)
Zn  0.0020  0.5000  0.3297 (multiplicity 4)
Zn  0.1397  0.0000  0.4277 (multiplicity 4)
Zn  0.1657  0.5000  0.0148 (multiplicity 4)
Au  0.1259  0.0000  0.8430 (multiplicity 4)
Au  0.1548  0.5000  0.2849 (multiplicity 4)



# 13
Starting from a cell relaxed with PBE, the X-ray diffraction stick pattern of Tm3Zn2Au was computed for Cu Kα (weighted mean of Kα1 and Kα2).
Lines closer than 0.1° are merged.

Top 10 peaks for 2θ = 15–90°, in order of rising 2θ:
index  2θ (°)  intensity
1 0 0  20.5  4
1 0 1  25.2  8
1 1 0  36.0  100
0 0 3  44.4  2
1 1 2  47.0  2
2 0 2  51.8  18
1 1 3  58.4  3
3 0 0  64.6  37
2 2 0  76.3  11
3 1 2  87.3  17

Lattice parameters (Å, degrees): 4.9944 4.9944 6.1178 90.00 90.00 120.00
Space group P-3m1 (No. 164)
Symmetry-distinct sites (fractional):
Tm  0.0000  0.0000  0.0000 (multiplicity 1)
Tm  0.3333  0.6667  0.6630 (multiplicity 2)
Zn  0.3333  0.6667  0.1520 (multiplicity 2)
Au  0.0000  0.0000  0.5000 (multiplicity 1)